# 1
Starting from a DFT-relaxed cell (PBE, Alexandria), the powder diffraction line list of Ce2Al3Cd was computed for λ = 1.5418 Å (Cu Kα).
Kinematic intensities with the Lorentz-polarization factor, no thermal factor.

Peak list (10 most intense, 2θ from 10° to 90°, by intensity)
2θ 30.77, rel. 100
2θ 35.14, rel. 72
2θ 36.96, rel. 56
2θ 20.28, rel. 46
2θ 37.13, rel. 37
2θ 57.58, rel. 32
2θ 44.56, rel. 26
2θ 64.10, rel. 22
2θ 54.72, rel. 19
2θ 64.47, rel. 19

Structure:
```
Ce2Al3Cd
1.0
5.811 0.000 0.000
-2.906 5.033 0.000
0.000 0.000 8.892
Ce Al Cd
4 6 2
Cartesian
0.000 3.355 0.829
0.000 3.355 3.617
2.906 1.678 5.276
2.906 1.678 8.063
0.000 1.774 6.669
-1.370 4.146 6.669
1.536 0.887 2.223
1.370 4.146 6.669
4.275 0.887 2.223
2.906 3.259 2.223
0.000 0.000 0.000
0.000 0.000 4.446
```


# 2
Starting from a DFT-relaxed cell (PBE, Alexandria), the powder diffraction line list of Ca2UInS6 was computed for λ = 1.5418 Å (Cu Kα).
Kinematic intensities with the Lorentz-polarization factor, no thermal factor.

Peak list (10 most intense, 2θ from 10° to 90°, by intensity)
2θ 17.75, rel. 100
2θ 24.64, rel. 61
2θ 39.62, rel. 59
2θ 25.76, rel. 49
2θ 35.95, rel. 39
2θ 45.43, rel. 31
2θ 44.75, rel. 31
2θ 29.77, rel. 23
2θ 41.10, rel. 20
2θ 15.58, rel. 16

Structure:
```
Ca2UInS6
1.0
3.458 1.996 6.041
-3.458 1.996 6.041
0.000 -3.993 6.041
Ca U In S
2 1 1 6
Cartesian
0.000 0.000 0.000
0.000 0.000 8.955
0.000 0.000 12.677
0.000 0.000 3.717
-1.272 -2.333 8.015
-2.051 0.206 11.030
-1.384 2.268 8.015
0.847 -1.879 11.030
2.656 0.065 8.015
1.204 1.673 11.030
```


# 3
Starting from a DFT-relaxed cell (PBE, Alexandria), the powder diffraction line list of Nd2InGa2Pd5 was computed for λ = 1.5418 Å (Cu Kα).
Kinematic intensities with the Lorentz-polarization factor, no thermal factor.

Peak list (10 most intense, 2θ from 10° to 90°, by intensity)
2θ 36.87, rel. 100
2θ 36.47, rel. 53
2θ 40.06, rel. 37
2θ 34.61, rel. 32
2θ 30.96, rel. 25
2θ 48.65, rel. 24
2θ 62.30, rel. 22
2θ 39.68, rel. 17
2θ 37.57, rel. 17
2θ 63.71, rel. 13

Structure:
```
Nd2InGa2Pd5
1.0
10.158 0.000 0.000
0.000 10.158 0.000
0.000 0.000 3.743
Nd In Ga Pd
4 2 4 10
Cartesian
1.803 3.275 0.000
3.275 8.354 0.000
6.882 1.803 0.000
8.354 6.882 0.000
0.000 0.000 0.000
5.079 5.079 0.000
1.226 6.304 0.000
3.853 1.226 0.000
6.304 8.932 0.000
8.932 3.853 0.000
0.000 5.079 1.872
0.626 8.018 1.872
2.140 0.626 1.872
2.939 5.705 1.872
4.452 2.939 1.872
5.079 0.000 1.872
5.705 7.219 1.872
7.219 4.452 1.872
8.018 9.531 1.872
9.531 2.140 1.872
```


# 4
Starting from a DFT-relaxed cell (PBE, Alexandria), the powder diffraction line list of Pr2HfZrPt2 was computed for λ = 1.5418 Å (Cu Kα).
Kinematic intensities with the Lorentz-polarization factor, no thermal factor.

Peak list (10 most intense, 2θ from 10° to 90°, by intensity)
2θ 32.16, rel. 100
2θ 38.22, rel. 99
2θ 37.54, rel. 74
2θ 50.79, rel. 56
2θ 29.79, rel. 52
2θ 26.77, rel. 45
2θ 55.17, rel. 34
2θ 12.83, rel. 30
2θ 43.80, rel. 25
2θ 68.64, rel. 25

Structure:
```
Pr2HfZrPt2
1.0
-3.331 6.901 3.329
3.331 -6.901 3.329
3.331 6.901 -3.329
Pr Hf Zr Pt
4 2 2 4
Cartesian
1.636 2.603 0.000
1.636 -2.603 3.329
1.695 9.503 0.000
1.695 4.298 3.329
0.000 0.000 1.665
0.000 0.000 4.994
3.331 0.000 1.665
0.000 6.901 1.665
5.028 1.348 0.000
1.697 5.553 0.000
1.633 1.348 3.329
-1.697 5.553 3.329
```